Record 1
Theoretical PXRD pattern
Compound: SmGdAs2Pt2
Radiation: a wavelength of 1.5418 Å
Structure: a DFT-relaxed cell (PBE, OQMD)
No peak broadening, texture or thermal motion is included.

Principal peaks in the range 2θ from 15° to 90°, by intensity:
| d (Å) | 2theta | I/Imax | hkl |
| --- | --- | --- | --- |
| 2.692 | 33.28 | 100 | 1 0 4 |
| 2.161 | 41.80 | 59 | 1 1 0 |
| 1.443 | 64.60 | 30 | 1 1 8 |
| 1.685 | 54.44 | 25 | 2 0 4 |
| 1.329 | 70.91 | 23 | 2 1 4 |
| 3.639 | 24.46 | 16 | 1 0 1 |

Atomic structure:
```
data_SmGdAs2Pt2
_chemical_formula_sum 'Sm2 Gd2 As4 Pt4'
_space_group_name_H-M_alt 'P 63/m m c'
_space_group_IT_number 194
_space_group_name_Hall '-P 6c 2c'
_cell_length_a 4.3225
_cell_length_b 4.3225
_cell_length_c 15.5008
_cell_angle_alpha 90.00
_cell_angle_beta 90.00
_cell_angle_gamma 120.00
loop_
_atom_site_label
_atom_site_type_symbol
_atom_site_fract_x
_atom_site_fract_y
_atom_site_fract_z
Sm1 Sm 0.0000 0.0000 0.2500
Gd1 Gd 0.0000 0.0000 0.0000
As1 As 0.3333 0.6667 0.1163
Pt1 Pt 0.3333 0.6667 0.6311
```

=====

Record 2
Theoretical PXRD pattern
Compound: GdTmAs2Pt2
Radiation: a wavelength of 1.5418 Å
Structure: a DFT-relaxed cell (PBE, OQMD)
No peak broadening, texture or thermal motion is included.

Principal peaks in the range 2θ from 15° to 90°, by intensity:
| d (Å) | 2theta | I/Imax | hkl |
| --- | --- | --- | --- |
| 2.649 | 33.83 | 100 | 1 0 4 |
| 2.144 | 42.14 | 62 | 1 1 0 |
| 1.667 | 55.10 | 25 | 2 0 4 |
| 1.418 | 65.87 | 23 | 1 1 8 |
| 1.316 | 71.72 | 23 | 2 1 4 |
| 3.607 | 24.68 | 19 | 1 0 1 |

Atomic structure:
```
data_GdTmAs2Pt2
_chemical_formula_sum 'Gd2 Tm2 As4 Pt4'
_space_group_name_H-M_alt 'P 63/m m c'
_space_group_IT_number 194
_space_group_name_Hall '-P 6c 2c'
_cell_length_a 4.2887
_cell_length_b 4.2887
_cell_length_c 15.1215
_cell_angle_alpha 90.00
_cell_angle_beta 90.00
_cell_angle_gamma 120.00
loop_
_atom_site_label
_atom_site_type_symbol
_atom_site_fract_x
_atom_site_fract_y
_atom_site_fract_z
Gd1 Gd 0.0000 0.0000 0.0000
Tm1 Tm 0.0000 0.0000 0.2500
As1 As 0.3333 0.6667 0.1167
Pt1 Pt 0.3333 0.6667 0.6418
```

=====

Record 3
Theoretical PXRD pattern
Compound: Gd3AsSe2
Radiation: a wavelength of 1.5418 Å
Structure: a DFT-relaxed cell (PBE, OQMD)
No peak broadening, texture or thermal motion is included.

Principal peaks in the range 2θ from 15° to 90°, by intensity:
| d (Å) | 2theta | I/Imax | hkl |
| --- | --- | --- | --- |
| 2.919 | 30.63 | 100 | 1 0 2 |
| 2.064 | 43.87 | 74 | 1 1 0 |
| 1.305 | 72.40 | 33 | 2 1 2 |
| 1.685 | 54.45 | 26 | 0 2 2 |
| 3.370 | 26.45 | 20 | 0 1 1 |
| 1.192 | 80.60 | 19 | 3 0 0 |

Atomic structure:
```
data_Gd3AsSe2
_chemical_formula_sum 'Gd3 As1 Se2'
_space_group_name_H-M_alt 'P -3 m 1'
_space_group_IT_number 164
_space_group_name_Hall '-P 3 2"'
_cell_length_a 4.1299
_cell_length_b 4.1299
_cell_length_c 10.1004
_cell_angle_alpha 90.00
_cell_angle_beta 90.00
_cell_angle_gamma 120.00
loop_
_atom_site_label
_atom_site_type_symbol
_atom_site_fract_x
_atom_site_fract_y
_atom_site_fract_z
Gd1 Gd 0.0000 0.0000 0.0000
Gd2 Gd 0.3333 0.6667 0.3399
As1 As 0.0000 0.0000 0.5000
Se1 Se 0.3333 0.6667 0.8339
```

=====

Record 4
Theoretical PXRD pattern
Compound: TbGdZr2As2
Radiation: a wavelength of 1.5418 Å
Structure: a DFT-relaxed cell (PBE, OQMD)
No peak broadening, texture or thermal motion is included.

Principal peaks in the range 2θ from 15° to 90°, by intensity:
| d (Å) | 2theta | I/Imax | hkl |
| --- | --- | --- | --- |
| 2.730 | 32.81 | 100 | 1 1 2 |
| 2.350 | 38.30 | 74 | 1 1 4 |
| 2.054 | 44.10 | 61 | 2 0 0 |
| 2.524 | 35.57 | 55 | 1 0 5 |
| 2.667 | 33.61 | 40 | 0 0 6 |
| 1.627 | 56.57 | 35 | 2 0 6 |

Atomic structure:
```
data_TbGdZr2As2
_chemical_formula_sum 'Tb2 Gd2 Zr4 As4'
_space_group_name_H-M_alt 'I 4 m m'
_space_group_IT_number 107
_space_group_name_Hall 'I 4 -2'
_cell_length_a 4.1072
_cell_length_b 4.1072
_cell_length_c 15.9995
_cell_angle_alpha 90.00
_cell_angle_beta 90.00
_cell_angle_gamma 90.00
loop_
_atom_site_label
_atom_site_type_symbol
_atom_site_fract_x
_atom_site_fract_y
_atom_site_fract_z
Tb1 Tb 0.0000 0.0000 0.0000
Gd1 Gd 0.0000 0.0000 0.6448
Zr1 Zr 0.0000 0.5000 0.3227
As1 As 0.0000 0.0000 0.1912
As2 As 0.0000 0.0000 0.4541
```

=====

Record 5
Theoretical PXRD pattern
Compound: Gd3TeAs2
Radiation: a wavelength of 1.5418 Å
Structure: a DFT-relaxed cell (PBE, OQMD)
No peak broadening, texture or thermal motion is included.

Principal peaks in the range 2θ from 15° to 90°, by intensity:
| d (Å) | 2theta | I/Imax | hkl |
| --- | --- | --- | --- |
| 2.996 | 29.82 | 100 | 1 0 2 |
| 2.107 | 42.93 | 38 | 1 1 0 |
| 2.130 | 42.43 | 32 | 0 1 4 |
| 1.723 | 53.14 | 20 | 0 2 2 |
| 1.334 | 70.61 | 17 | 2 1 2 |
| 1.221 | 78.30 | 13 | 1 2 4 |

Atomic structure:
```
data_Gd3TeAs2
_chemical_formula_sum 'Gd3 Te1 As2'
_space_group_name_H-M_alt 'P -3 m 1'
_space_group_IT_number 164
_space_group_name_Hall '-P 3 2"'
_cell_length_a 4.2139
_cell_length_b 4.2139
_cell_length_c 10.4958
_cell_angle_alpha 90.00
_cell_angle_beta 90.00
_cell_angle_gamma 120.00
loop_
_atom_site_label
_atom_site_type_symbol
_atom_site_fract_x
_atom_site_fract_y
_atom_site_fract_z
Gd1 Gd 0.0000 0.0000 0.0000
Gd2 Gd 0.3333 0.6667 0.3057
Te1 Te 0.0000 0.0000 0.5000
As1 As 0.3333 0.6667 0.8398
```

=====

Record 6
Theoretical PXRD pattern
Compound: Hg2Ge2As3P
Radiation: a wavelength of 1.5418 Å
Structure: a DFT-relaxed cell (PBE, OQMD)
No peak broadening, texture or thermal motion is included.

Principal peaks in the range 2θ from 15° to 90°, by intensity:
| d (Å) | 2theta | I/Imax | hkl |
| --- | --- | --- | --- |
| 3.391 | 26.28 | 100 | 3 1 -1 |
| 3.413 | 26.11 | 91 | 1 1 1 |
| 2.122 | 42.62 | 47 | 2 2 -2 |
| 2.068 | 43.79 | 42 | 4 2 0 |
| 1.802 | 50.66 | 29 | 1 1 -3 |
| 5.319 | 16.67 | 28 | 0 0 1 |

Atomic structure:
```
data_Hg2Ge2As3P
_chemical_formula_sum 'Hg4 Ge4 As6 P2'
_space_group_name_H-M_alt 'C 1 2 1'
_space_group_IT_number 5
_cell_length_a 12.8092
_cell_length_b 6.0176
_cell_length_c 5.9843
_cell_angle_alpha 90.00
_cell_angle_beta 117.29
_cell_angle_gamma 90.00
loop_
_space_group_symop_operation_xyz
'x,y,z'
'-x,y,-z'
'x+1/2,y+1/2,z'
'-x+1/2,y+1/2,-z'
loop_
_atom_site_label
_atom_site_type_symbol
_atom_site_fract_x
_atom_site_fract_y
_atom_site_fract_z
Hg1 Hg 0.1212 0.0000 0.3629
Ge1 Ge 0.1228 0.5153 0.8794
As1 As 0.0000 0.2892 0.5000
As2 As 0.2500 0.2612 0.2245
P1 P 0.0000 0.7284 0.0000
```